Theoretical X-ray diffraction stick pattern of Ce3Ge13Os4 for Cu Kα (weighted mean of Kα1 and Kα2), from a structure optimized by DFT (GGA-PBE).
Peak positions follow from Bragg's law for the DFT cell and can differ from measured ones.

Atomic structure:
Cell: 9.1059 9.1059 9.1059 Å, 90.00 90.00 90.00°
Space group Pm-3n (No. 223)
Asymmetric unit:
Ce1 0.0000 0.2500 0.5000 (multiplicity 6)
Ge1 0.0000 0.0000 0.0000 (multiplicity 2)
Ge2 0.0000 0.3048 0.1466 (multiplicity 24)
Os1 0.2500 0.2500 0.2500 (multiplicity 8)

Largest 10 diffraction maxima, sorted by position, 2θ from 15° to 90°:
- hkl 2 0 0, 2θ 19.50, 4.553 Å, rel. 54.9
- hkl 2 2 0, 2θ 27.71, 3.219 Å, rel. 29.5
- hkl 2 2 2, 2θ 34.11, 2.629 Å, rel. 51.1
- hkl 3 2 0, 2θ 35.55, 2.526 Å, rel. 100.0
- hkl 3 2 1, 2θ 36.94, 2.434 Å, rel. 39.0
- hkl 4 0 0, 2θ 39.59, 2.276 Å, rel. 56.7
- hkl 4 2 0, 2θ 44.50, 2.036 Å, rel. 44.2
- hkl 4 2 2, 2θ 49.01, 1.859 Å, rel. 59.2
- hkl 4 4 0, 2θ 57.23, 1.610 Å, rel. 21.3
- hkl 6 2 2, 2θ 68.33, 1.373 Å, rel. 38.7